Simulated X-ray powder pattern
Compound: Rb2Li3GaO4
Radiation: Cu Kα
Structure: a crystal structure in Alexandria, relaxed with PBE
Kinematic intensities with the Lorentz-polarization factor, no thermal factor.

Main lines, by angle (2θ from 10° to 90°):
(hkl), 2θ/deg, I/Imax
1 1 2, 25.3, 26
1 2 1, 26.6, 68
0 0 4, 30.9, 32
1 2 3, 34.5, 100
2 0 2, 39.4, 31
0 4 2, 39.6, 31
0 0 6, 47.0, 17
2 4 0, 52.2, 27
2 0 6, 60.7, 16
0 4 6, 60.9, 16
2 4 4, 61.8, 18
0 0 8, 64.3, 17

Structure:
a b c (Å): 4.977 9.889 11.585
angles (deg): 90.00 90.00 90.00
Space group Ibam (No. 72)
Symmetry-distinct sites (fractional):
Rb 0.235 0.129 0.000 [8 per cell]
Li 0.000 0.000 0.250 [4 per cell]
Li 0.000 0.240 0.250 [8 per cell]
Ga 0.000 0.500 0.250 [4 per cell]
O 0.234 0.381 0.170 [16 per cell]